(1)
Diffraction record for DyRu2. The powder diffractogram is computed, not measured: it uses a GGA-PBE-relaxed structure and Cu Kα (weighted mean of Kα1 and Kα2).
Lines closer than 0.1° are merged.

Top 12 peaks for 10 to 90 degrees two-theta, low angle first:
d 2.632, I = 44, (2 0 0); d 2.499, I = 96, (1 1 3); d 2.279, I = 13, (2 2 0); d 2.269, I = 100, (2 0 2); d 2.241, I = 13, (0 0 4); d 2.209, I = 75, (2 2 1); d 1.493, I = 29, (0 0 6); d 1.492, I = 12, (1 5 3); d 1.439, I = 23, (3 3 2); d 1.409, I = 32, (2 2 5); d 1.315, I = 17, (2 6 0); d 1.165, I = 11, (3 5 3)

Structure:
a b c (Å): 5.267 9.108 8.965
angles (deg): 90.00 90.00 90.00
Space group Cmcm (No. 63)
Symmetry-distinct sites (fractional):
Dy1 0.000 0.167 0.067 [8 per cell]
Ru1 0.000 0.329 0.750 [4 per cell]
Ru2 0.000 0.500 0.000 [4 per cell]
Ru3 0.243 0.086 0.750 [8 per cell]



(2)
Diffraction record for LiSm4Tm4O12. The powder diffractogram is computed, not measured: it uses a GGA-PBE-relaxed structure and Cu Kα (weighted mean of Kα1 and Kα2).
Lines closer than 0.1° are merged.

Top 12 peaks for 10 to 90 degrees two-theta, low angle first:
d 3.080, I = 41, (0 0 2); d 2.966, I = 100, (1 2 -1); d 2.928, I = 93, (1 2 1); d 2.842, I = 44, (2 0 0); d 2.116, I = 19, (2 0 -2); d 2.079, I = 22, (0 4 0); d 2.062, I = 20, (2 0 2); d 1.764, I = 13, (1 2 -3); d 1.723, I = 16, (0 4 2); d 1.678, I = 19, (2 4 0); d 1.671, I = 21, (3 2 -1); d 1.650, I = 23, (3 2 1)

Structure:
a b c (Å): 5.686 8.316 6.163
angles (deg): 90.00 91.48 90.00
Space group Pm (No. 6)
Symmetry-distinct sites (fractional):
Li1 0.000 0.000 0.000 [1 per cell]
Sm1 0.405 0.500 0.701 [1 per cell]
Sm2 0.475 0.000 0.823 [1 per cell]
Sm3 0.917 0.000 0.387 [1 per cell]
Sm4 0.942 0.500 0.246 [1 per cell]
Tm1 0.439 0.245 0.255 [2 per cell]
Tm2 0.934 0.279 0.769 [2 per cell]
O1 0.080 0.000 0.724 [1 per cell]
O2 0.124 0.300 0.447 [2 per cell]
O3 0.270 0.308 0.942 [2 per cell]
O4 0.284 0.000 0.190 [1 per cell]
O5 0.564 0.500 0.344 [1 per cell]
O6 0.638 0.175 0.569 [2 per cell]
O7 0.765 0.167 0.074 [2 per cell]
O8 0.766 0.500 0.890 [1 per cell]



(3)
Diffraction record for SiO2. The powder diffractogram is computed, not measured: it uses a GGA-PBE-relaxed structure and Cu Kα (weighted mean of Kα1 and Kα2).
Lines closer than 0.1° are merged.

Top 12 peaks for 10 to 90 degrees two-theta, low angle first:
d 8.221, I = 100, (0 1 1); d 5.835, I = 22, (0 0 2); d 5.792, I = 23, (0 2 0); d 5.199, I = 18, (0 2 1); d 3.689, I = 11, (0 1 -3); d 3.665, I = 11, (0 3 1); d 3.226, I = 25, (0 3 -2); d 2.829, I = 7, (0 1 4); d 2.811, I = 6, (0 4 -1); d 2.786, I = 15, (1 0 0); d 2.512, I = 7, (1 -1 2); d 2.146, I = 6, (1 0 -3)

Structure:
a b c (Å): 2.827 11.665 11.754
angles (deg): 89.24 83.16 83.22
Space group P1 (No. 1)
Symmetry-distinct sites (fractional):
Si1 0.000 0.000 0.000 [1 per cell]
Si2 0.033 0.152 0.776 [1 per cell]
Si3 0.550 0.537 0.375 [1 per cell]
Si4 0.588 0.690 0.151 [1 per cell]
Si5 0.658 0.269 0.422 [1 per cell]
Si6 0.744 0.644 0.885 [1 per cell]
Si7 0.844 0.046 0.266 [1 per cell]
Si8 0.925 0.421 0.729 [1 per cell]
O1 0.044 0.763 0.168 [1 per cell]
O2 0.130 0.251 0.494 [1 per cell]
O3 0.233 0.707 0.845 [1 per cell]
O4 0.355 0.984 0.306 [1 per cell]
O5 0.452 0.438 0.656 [1 per cell]
O6 0.544 0.927 0.984 [1 per cell]
O7 0.584 0.111 0.715 [1 per cell]
O8 0.592 0.585 0.244 [1 per cell]
O9 0.621 0.397 0.368 [1 per cell]
O10 0.680 0.634 0.024 [1 per cell]
O11 0.754 0.177 0.317 [1 per cell]
O12 0.831 0.514 0.833 [1 per cell]
O13 0.909 0.057 0.127 [1 per cell]
O14 0.959 0.293 0.783 [1 per cell]
O15 0.994 0.104 0.907 [1 per cell]
O16 0.999 0.579 0.436 [1 per cell]